Structure and calculated X-ray powder pattern of Ti2Fe4O9 (a crystal structure in the Materials Project, relaxed with PBE+U; Cu Kα (weighted mean of Kα1 and Kα2)).
Intensities are scaled so that the largest is 100.

Cell: 5.5185 5.5185 12.9058 Å, 93.12 93.12 55.77°
Sites, in units of the cell vectors:
Ti (0.0049, 0.9951, 0.5000)
Ti (0.6633, 0.6727, 0.3232)
Ti (0.6727, 0.6633, 0.8232)
Ti (0.9951, 0.0049, 0.0000)
Fe (0.0495, 0.0489, 0.2318)
Fe (0.0489, 0.0495, 0.7318)
Fe (0.3291, 0.3327, 0.1595)
Fe (0.3327, 0.3291, 0.6595)
Fe (0.3885, 0.3885, 0.3962)
Fe (0.3885, 0.3885, 0.8962)
Fe (0.7143, 0.7244, 0.0612)
Fe (0.7244, 0.7143, 0.5612)
O (0.0124, 0.2712, 0.0863)
O (0.0697, 0.4252, 0.2980)
O (0.0732, 0.7481, 0.1215)
O (0.1759, 0.5576, 0.5297)
O (0.2301, 0.8293, 0.3750)
O (0.2712, 0.0124, 0.5863)
O (0.3532, 0.6035, 0.7612)
O (0.3946, 0.7497, 0.9581)
O (0.4252, 0.0697, 0.7980)
O (0.5095, 0.8922, 0.2065)
O (0.5576, 0.1759, 0.0297)
O (0.6035, 0.3532, 0.2612)
O (0.6571, 0.9536, 0.4171)
O (0.7481, 0.0732, 0.6215)
O (0.7497, 0.3946, 0.4581)
O (0.8293, 0.2301, 0.8750)
O (0.8922, 0.5095, 0.7065)
O (0.9536, 0.6571, 0.9171)

The 10 most intense peaks (10 to 90 degrees two-theta), by angle:
d/Å  Position (°2θ)  I/Imax
3.774  23.58  45.2
2.765  32.37  50.3
2.748  32.59  100.0
2.596  34.56  75.0
2.581  34.76  37.3
2.259  39.91  20.9
1.887  48.23  60.2
1.736  52.72  25.7
1.727  53.01  49.3
1.493  62.18  33.3